Record 1
Theoretical powder diffraction line list of HoMg12Cd6 for λ = 1.5418 Å (Cu Kα), from a cell relaxed with PBE.

Cell and atoms:
a = 12.7971 Å, b = 12.7971 Å, c = 9.7443 Å
α = 90.00°, β = 90.00°, γ = 120.00°
Space group R-3m (No. 166, hexagonal axes)
One atom of each set of equivalent atoms:
Ho1 0.0000 0.0000 0.0000
Mg1 0.0000 0.3871 0.5000
Mg2 0.0829 0.1657 0.3015
Cd1 0.0496 0.5248 0.2409

Top 12 peaks for 2θ from 10° to 90°, sorted by position:
| h k l | 2θ (°) | d/Å | I (rel.) |
| --- | --- | --- | --- |
| 0 1 2 | 19.91 | 4.460 | 40 |
| 2 1 1 | 23.11 | 3.848 | 100 |
| 2 0 2 | 24.33 | 3.659 | 45 |
| 2 2 0 | 27.89 | 3.199 | 73 |
| 1 2 2 | 28.09 | 3.176 | 45 |
| 1 1 3 | 30.87 | 2.896 | 32 |
| 3 2 1 | 36.52 | 2.460 | 38 |
| 3 0 3 | 36.85 | 2.439 | 42 |
| 2 3 2 | 40.00 | 2.254 | 50 |
| 0 2 4 | 40.45 | 2.230 | 63 |
| 0 5 1 | 41.79 | 2.161 | 32 |
| 5 2 3 | 59.34 | 1.557 | 33 |

---

Record 2
Theoretical powder diffraction line list of Pt3Au7 for λ = 1.5418 Å (Cu Kα), from a cell relaxed with PBE.

Cell and atoms:
a = 14.759 Å, b = 4.133 Å, c = 5.784 Å
α = 90.00°, β = 101.87°, γ = 90.00°
Space group C2/m (No. 12)
One atom of each set of equivalent atoms:
Pt1 0.000 0.000 0.000
Pt2 0.201 0.000 0.597
Au1 0.000 0.000 0.500
Au2 0.100 0.500 0.800
Au3 0.101 0.500 0.301
Au4 0.200 0.000 0.101

Top 12 peaks for 2θ from 10° to 90°, sorted by position:
| h k l | 2θ (°) | d/Å | I (rel.) |
| --- | --- | --- | --- |
| 5 1 0 | 37.99 | 2.369 | 100 |
| 0 2 0 | 43.80 | 2.067 | 17 |
| 6 0 -2 | 44.09 | 2.054 | 17 |
| 4 0 2 | 44.55 | 2.034 | 16 |
| 6 2 -2 | 63.90 | 1.457 | 11 |
| 4 2 2 | 64.26 | 1.450 | 11 |
| 10 0 0 | 64.48 | 1.445 | 11 |
| 1 3 -2 | 76.60 | 1.244 | 7 |
| 5 3 0 | 76.62 | 1.244 | 7 |
| 11 1 -2 | 77.02 | 1.238 | 13 |
| 9 1 2 | 77.68 | 1.229 | 13 |
| 10 2 0 | 81.23 | 1.184 | 12 |

---

Record 3
Theoretical powder diffraction line list of MgBr for λ = 1.5418 Å (Cu Kα), from a cell relaxed with PBE.

Cell and atoms:
a = 12.664 Å, b = 12.664 Å, c = 3.687 Å
α = 90.00°, β = 90.00°, γ = 90.00°
Space group I4/m (No. 87)
One atom of each set of equivalent atoms:
Mg1 0.165 0.302 0.000
Br1 0.011 0.289 0.500

Top 12 peaks for 2θ from 10° to 90°, sorted by position:
| h k l | 2θ (°) | d/Å | I (rel.) |
| --- | --- | --- | --- |
| 2 2 0 | 19.83 | 4.477 | 100 |
| 1 3 0 | 22.20 | 4.005 | 42 |
| 1 0 1 | 25.16 | 3.540 | 24 |
| 4 0 0 | 28.19 | 3.166 | 38 |
| 1 2 1 | 28.90 | 3.090 | 80 |
| 3 0 1 | 32.24 | 2.777 | 75 |
| 5 1 0 | 36.17 | 2.484 | 36 |
| 1 4 1 | 38.14 | 2.360 | 18 |
| 4 3 1 | 43.34 | 2.088 | 50 |
| 2 5 1 | 45.76 | 1.983 | 65 |
| 5 5 0 | 50.99 | 1.791 | 21 |
| 7 4 1 | 64.48 | 1.445 | 18 |

---

Record 4
Theoretical powder diffraction line list of La8CoPd2Pt for λ = 1.5418 Å (Cu Kα), from a cell relaxed with PBE.

Cell and atoms:
a = 6.706 Å, b = 8.512 Å, c = 6.979 Å
α = 90.00°, β = 91.12°, γ = 90.00°
Space group P2/m (No. 10)
One atom of each set of equivalent atoms:
La1 0.133 0.000 0.258
La2 0.144 0.500 0.259
La3 0.361 0.267 0.731
Co1 0.500 0.500 0.500
Pd1 0.000 0.250 0.000
Pt1 0.500 0.000 0.500

Top 12 peaks for 2θ from 10° to 90°, sorted by position:
| h k l | 2θ (°) | d/Å | I (rel.) |
| --- | --- | --- | --- |
| 1 0 -1 | 18.17 | 4.883 | 40 |
| 1 0 1 | 18.53 | 4.788 | 38 |
| 1 2 -1 | 27.81 | 3.208 | 74 |
| 1 2 1 | 28.05 | 3.181 | 81 |
| 2 0 -1 | 29.33 | 3.045 | 56 |
| 2 0 1 | 29.79 | 2.999 | 57 |
| 1 2 -2 | 35.68 | 2.516 | 100 |
| 1 2 2 | 36.07 | 2.490 | 59 |
| 0 4 0 | 42.48 | 2.128 | 42 |
| 3 2 0 | 45.86 | 1.979 | 58 |
| 1 2 3 | 46.74 | 1.943 | 34 |
| 0 0 4 | 52.46 | 1.744 | 43 |

---

Record 5
Theoretical powder diffraction line list of BaRuO5 for λ = 1.5418 Å (Cu Kα), from a cell relaxed with PBE.

Cell and atoms:
a = 6.443 Å, b = 8.785 Å, c = 4.730 Å
α = 90.00°, β = 90.00°, γ = 90.00°
Space group Imm2 (No. 44)
One atom of each set of equivalent atoms:
Ba1 0.000 0.000 0.000
Ru1 0.000 0.500 0.081
O1 0.000 0.302 0.981
O2 0.000 0.500 0.450
O3 0.222 0.000 0.493

Top 12 peaks for 2θ from 10° to 90°, sorted by position:
| h k l | 2θ (°) | d/Å | I (rel.) |
| --- | --- | --- | --- |
| 0 2 0 | 20.22 | 4.393 | 83 |
| 1 0 1 | 23.33 | 3.813 | 100 |
| 2 0 0 | 27.69 | 3.222 | 37 |
| 1 2 1 | 31.06 | 2.879 | 56 |
| 2 2 0 | 34.53 | 2.598 | 23 |
| 0 0 2 | 38.05 | 2.365 | 18 |
| 0 4 0 | 41.10 | 2.196 | 16 |
| 0 2 2 | 43.46 | 2.082 | 16 |
| 3 0 1 | 46.43 | 1.956 | 18 |
| 1 4 1 | 47.76 | 1.904 | 35 |
| 3 2 1 | 51.13 | 1.787 | 17 |
| 4 0 0 | 57.22 | 1.610 | 15 |

---

Record 6
Theoretical powder diffraction line list of Zr4BiPb for λ = 1.5418 Å (Cu Kα), from a cell relaxed with PBE.

Cell and atoms:
a = 9.895 Å, b = 3.153 Å, c = 10.661 Å
α = 90.00°, β = 116.28°, γ = 90.00°
Space group C2/m (No. 12)
One atom of each set of equivalent atoms:
Zr1 0.149 0.000 0.334
Zr2 0.150 0.500 0.833
Bi1 0.000 0.000 0.000
Pb1 0.000 0.500 0.500

Top 12 peaks for 2θ from 10° to 90°, sorted by position:
| h k l | 2θ (°) | d/Å | I (rel.) |
| --- | --- | --- | --- |
| 0 0 2 | 18.57 | 4.779 | 24 |
| 2 0 0 | 20.02 | 4.436 | 37 |
| 1 1 -1 | 30.14 | 2.965 | 100 |
| 2 0 2 | 33.08 | 2.708 | 75 |
| 2 0 -4 | 33.82 | 2.650 | 71 |
| 4 0 -2 | 36.33 | 2.473 | 54 |
| 1 1 -3 | 38.23 | 2.354 | 68 |
| 3 1 -1 | 39.76 | 2.267 | 73 |
| 1 1 3 | 44.68 | 2.028 | 43 |
| 3 1 1 | 46.03 | 1.972 | 24 |
| 5 1 -5 | 60.79 | 1.524 | 24 |
| 2 2 -4 | 69.37 | 1.355 | 26 |

---

Record 7
Theoretical powder diffraction line list of MgTlCd for λ = 1.5418 Å (Cu Kα), from a cell relaxed with PBE.

Cell and atoms:
a = 3.371 Å, b = 3.389 Å, c = 15.178 Å
α = 83.77°, β = 84.18°, γ = 60.30°
Space group P1 (No. 1)
One atom of each set of equivalent atoms:
Mg1 0.000 0.000 0.000
Mg2 0.193 0.172 0.467
Tl1 0.475 0.444 0.638
Tl2 0.723 0.725 0.829
Cd1 0.290 0.280 0.155
Cd2 0.909 0.889 0.312

Top 12 peaks for 2θ from 10° to 90°, sorted by position:
| h k l | 2θ (°) | d/Å | I (rel.) |
| --- | --- | --- | --- |
| 0 0 2 | 11.75 | 7.533 | 94 |
| 0 0 4 | 23.62 | 3.766 | 46 |
| 1 0 -1 | 31.46 | 2.844 | 60 |
| 1 1 2 | 31.68 | 2.825 | 28 |
| 0 1 2 | 31.95 | 2.801 | 26 |
| 1 1 -1 | 32.12 | 2.787 | 26 |
| 0 1 -2 | 33.49 | 2.676 | 100 |
| 1 1 3 | 33.75 | 2.656 | 51 |
| 0 0 6 | 35.76 | 2.511 | 56 |
| 0 1 4 | 37.54 | 2.396 | 47 |
| 1 1 -3 | 37.64 | 2.390 | 46 |
| 1 0 4 | 37.90 | 2.374 | 45 |

---

Record 8
Theoretical powder diffraction line list of Pr2OsPbO8 for λ = 1.5418 Å (Cu Kα), from a cell relaxed with PBE.

Cell and atoms:
a = 7.313 Å, b = 7.377 Å, c = 7.082 Å
α = 90.00°, β = 90.00°, γ = 90.00°
Space group Cmmm (No. 65)
One atom of each set of equivalent atoms:
Pr1 0.000 0.000 0.249
Os1 0.000 0.500 0.000
Pb1 0.000 0.500 0.500
O1 0.000 0.324 0.203
O2 0.193 0.000 0.500
O3 0.246 0.000 0.000

Top 12 peaks for 2θ from 10° to 90°, sorted by position:
| h k l | 2θ (°) | d/Å | I (rel.) |
| --- | --- | --- | --- |
| 0 2 0 | 24.13 | 3.689 | 55 |
| 2 0 0 | 24.34 | 3.656 | 51 |
| 1 1 2 | 30.56 | 2.926 | 100 |
| 2 2 0 | 34.54 | 2.597 | 30 |
| 1 3 2 | 46.65 | 1.947 | 40 |
| 3 1 2 | 46.90 | 1.937 | 36 |
| 4 0 0 | 49.88 | 1.828 | 9 |
| 4 2 0 | 56.16 | 1.638 | 11 |
| 0 2 4 | 57.76 | 1.596 | 11 |
| 3 3 2 | 59.43 | 1.555 | 21 |
| 2 2 4 | 63.61 | 1.463 | 12 |
| 1 5 2 | 70.31 | 1.339 | 9 |

---

Record 9
Theoretical powder diffraction line list of Zn3CuAu7 for λ = 1.5418 Å (Cu Kα), from a cell relaxed with PBE.

Cell and atoms:
a = 9.026 Å, b = 9.612 Å, c = 5.112 Å
α = 90.00°, β = 116.22°, γ = 90.00°
Space group C2/m (No. 12)
One atom of each set of equivalent atoms:
Zn1 0.000 0.000 0.000
Zn2 0.000 0.227 0.500
Cu1 0.000 0.500 0.000
Au1 0.000 0.500 0.500
Au2 0.170 0.238 0.178
Au3 0.189 0.000 0.578

Top 12 peaks for 2θ from 10° to 90°, sorted by position:
| h k l | 2θ (°) | d/Å | I (rel.) |
| --- | --- | --- | --- |
| 0 2 1 | 26.87 | 3.318 | 60 |
| 3 1 -1 | 31.53 | 2.837 | 32 |
| 3 1 0 | 34.51 | 2.599 | 30 |
| 2 0 -2 | 35.46 | 2.531 | 85 |
| 0 4 0 | 37.43 | 2.403 | 89 |
| 4 0 -1 | 39.91 | 2.259 | 32 |
| 2 2 1 | 40.28 | 2.239 | 100 |
| 3 3 -1 | 41.46 | 2.178 | 28 |
| 0 2 2 | 43.75 | 2.069 | 44 |
| 4 2 -1 | 44.35 | 2.043 | 46 |
| 2 4 -2 | 52.51 | 1.743 | 50 |
| 6 4 0 | 81.85 | 1.177 | 28 |

---

Record 10
Theoretical powder diffraction line list of Rb2VCl5 for λ = 1.5418 Å (Cu Kα), from a cell relaxed with PBE.

Cell and atoms:
a = 10.191 Å, b = 11.434 Å, c = 9.594 Å
α = 90.00°, β = 90.00°, γ = 90.00°
Space group Fmm2 (No. 42)
One atom of each set of equivalent atoms:
Rb1 0.250 0.250 0.000
V1 0.000 0.000 0.228
Cl1 0.000 0.000 0.995
Cl2 0.000 0.213 0.237
Cl3 0.203 0.000 0.327

Top 12 peaks for 2θ from 10° to 90°, sorted by position:
| h k l | 2θ (°) | d/Å | I (rel.) |
| --- | --- | --- | --- |
| 1 1 1 | 14.86 | 5.961 | 72 |
| 2 2 0 | 23.39 | 3.804 | 23 |
| 0 2 2 | 24.22 | 3.675 | 37 |
| 2 0 2 | 25.50 | 3.493 | 61 |
| 2 2 2 | 29.98 | 2.981 | 100 |
| 0 4 0 | 31.29 | 2.859 | 45 |
| 4 0 0 | 35.23 | 2.548 | 29 |
| 0 0 4 | 37.50 | 2.399 | 16 |
| 2 4 2 | 40.79 | 2.212 | 37 |
| 2 2 4 | 44.66 | 2.029 | 23 |
| 4 4 0 | 47.82 | 1.902 | 20 |
| 2 6 2 | 54.92 | 1.672 | 18 |

---

Record 11
Theoretical powder diffraction line list of TbDyCd3 for λ = 1.5418 Å (Cu Kα), from a cell relaxed with PBE.

Cell and atoms:
a = 5.328 Å, b = 5.358 Å, c = 9.287 Å
α = 90.00°, β = 106.65°, γ = 90.00°
Space group P2_1/m (No. 11)
One atom of each set of equivalent atoms:
Tb1 0.151 0.250 0.297
Dy1 0.355 0.250 0.704
Cd1 0.039 0.750 0.088
Cd2 0.246 0.750 0.500
Cd3 0.450 0.750 0.912

Top 12 peaks for 2θ from 10° to 90°, sorted by position:
| h k l | 2θ (°) | d/Å | I (rel.) |
| --- | --- | --- | --- |
| 0 2 0 | 33.45 | 2.679 | 28 |
| 2 0 -1 | 33.64 | 2.664 | 27 |
| 1 1 2 | 34.63 | 2.591 | 100 |
| 2 2 -1 | 48.17 | 1.889 | 20 |
| 0 0 5 | 51.34 | 1.780 | 8 |
| 1 3 2 | 60.55 | 1.529 | 19 |
| 3 1 1 | 60.80 | 1.523 | 19 |
| 0 2 5 | 62.67 | 1.482 | 8 |
| 2 0 4 | 62.80 | 1.480 | 8 |
| 2 2 4 | 73.05 | 1.295 | 11 |
| 3 3 1 | 80.99 | 1.187 | 8 |
| 1 1 7 | 85.86 | 1.132 | 7 |

---

Record 12
Theoretical powder diffraction line list of Na3H5C2O8 for λ = 1.5418 Å (Cu Kα), from a cell relaxed with PBE.

Cell and atoms:
a = 20.208 Å, b = 3.583 Å, c = 10.464 Å
α = 90.00°, β = 106.79°, γ = 90.00°
Space group C2/c (No. 15)
One atom of each set of equivalent atoms:
Na1 0.000 0.246 0.250
Na2 0.153 0.337 0.927
H1 0.000 0.500 0.000
H2 0.191 0.087 0.258
H3 0.239 0.267 0.637
C1 0.093 0.234 0.606
O1 0.054 0.372 0.490
O2 0.072 0.249 0.710
O3 0.152 0.092 0.605
O4 0.212 0.163 0.354

Top 12 peaks for 2θ from 10° to 90°, sorted by position:
| h k l | 2θ (°) | d/Å | I (rel.) |
| --- | --- | --- | --- |
| 1 1 1 | 27.27 | 3.270 | 23 |
| 3 1 -1 | 28.64 | 3.117 | 26 |
| 4 0 2 | 29.14 | 3.065 | 40 |
| 1 1 2 | 31.81 | 2.813 | 17 |
| 5 1 -1 | 33.50 | 2.675 | 100 |
| 5 1 -2 | 35.30 | 2.543 | 16 |
| 1 1 -3 | 36.07 | 2.490 | 34 |
| 2 0 4 | 39.70 | 2.271 | 26 |
| 7 1 -3 | 43.96 | 2.060 | 21 |
| 10 0 -2 | 45.10 | 2.010 | 16 |
| 3 1 -5 | 50.52 | 1.807 | 16 |
| 9 1 1 | 52.67 | 1.738 | 15 |